(1)
# Na2Ti3Cl8
Theoretical PXRD pattern, copper Kα. Input: a cell relaxed with PBE.
No peak broadening, texture or thermal motion is included.

Structure:
Cell lengths 6.9632, 6.9632, 20.5662 Å; angles 90.00, 90.00, 120.00 degrees
Space group R3m (No. 160, hexagonal axes)
One atom of each set of equivalent atoms:
Na1 0.0000 0.0000 0.0000 x3
Na2 0.0000 0.0000 0.3303 x3
Ti1 0.1969 0.3939 0.4901 x9
Cl1 0.0000 0.0000 0.5510 x3
Cl2 0.0000 0.0000 0.7389 x3
Cl3 0.0054 0.5027 0.5666 x9
Cl4 0.1681 0.3362 0.0902 x9

Main lines, in order of rising 2θ (2θ = 5–70°):
2θ/deg, I (rel.)
12.91, 73
17.05, 28
28.76, 16
30.91, 41
36.97, 100
42.98, 29
47.11, 12
52.57, 32
53.97, 19
66.00, 11

***

(2)
# Sm5Er6
Theoretical PXRD pattern, copper Kα. Input: a cell relaxed with PBE.
No peak broadening, texture or thermal motion is included.

Structure:
Cell lengths 5.547, 8.099, 15.987 Å; angles 90.00, 90.00, 90.00 degrees
Space group Immm (No. 71)
One atom of each set of equivalent atoms:
Sm1 0.000 0.000 0.000 x2
Sm2 0.000 0.000 0.301 x4
Sm3 0.000 0.500 0.338 x4
Er1 0.000 0.206 0.500 x4
Er2 0.000 0.294 0.137 x8

Main lines, in order of rising 2θ (2θ = 5–70°):
2θ/deg, I (rel.)
29.68, 27
32.11, 100
32.29, 53
33.65, 27
47.32, 21
52.48, 10
56.26, 10
57.45, 19
62.97, 12
64.28, 12

***

(3)
# CeHCl4
Theoretical PXRD pattern, copper Kα. Input: a cell relaxed with PBE.
No peak broadening, texture or thermal motion is included.

Structure:
Cell lengths 7.137, 16.229, 7.221 Å; angles 90.00, 118.69, 90.00 degrees
Space group C2/c (No. 15)
One atom of each set of equivalent atoms:
Ce1 0.000 0.071 0.250 x4
H1 0.000 0.320 0.750 x4
Cl1 0.198 0.311 0.715 x8
Cl2 0.224 0.054 0.685 x8

Main lines, in order of rising 2θ (2θ = 5–70°):
2θ/deg, I (rel.)
10.90, 51
15.17, 100
17.76, 60
21.84, 64
28.17, 47
31.02, 22
33.44, 65
41.52, 25
44.00, 26
44.55, 32

***

(4)
# Pm8Nd3Sm
Theoretical PXRD pattern, copper Kα. Input: a cell relaxed with PBE.
No peak broadening, texture or thermal motion is included.

Structure:
Cell lengths 6.615, 11.484, 11.688 Å; angles 90.00, 90.00, 90.00 degrees
Space group Immm (No. 71)
One atom of each set of equivalent atoms:
Pm1 0.000 0.167 0.250 x8
Pm2 0.248 0.253 0.000 x8
Nd1 0.000 0.000 0.000 x2
Nd2 0.000 0.500 0.249 x4
Sm1 0.000 0.000 0.500 x2

Main lines, in order of rising 2θ (2θ = 5–70°):
2θ/deg, I (rel.)
15.45, 18
26.92, 18
30.60, 39
31.04, 100
31.19, 28
34.85, 42
44.25, 21
50.24, 17
54.66, 20
64.71, 27

***

(5)
# CsRb2NpO5
Theoretical PXRD pattern, copper Kα. Input: a cell relaxed with PBE.
No peak broadening, texture or thermal motion is included.

Structure:
Cell lengths 4.401, 6.734, 12.947 Å; angles 90.00, 90.00, 90.00 degrees
Space group Immm (No. 71)
One atom of each set of equivalent atoms:
Cs1 0.000 0.000 0.000 x2
Rb1 0.000 0.500 0.227 x4
Np1 0.000 0.000 0.500 x2
O1 0.000 0.204 0.391 x8
O2 0.000 0.500 0.000 x2

Main lines, in order of rising 2θ (2θ = 5–70°):
2θ/deg, I (rel.)
13.68, 25
14.83, 21
26.47, 26
27.56, 21
27.86, 100
38.58, 26
41.01, 13
47.59, 22
48.92, 16
57.57, 16

***

(6)
# Be3CuNi2
Theoretical PXRD pattern, copper Kα. Input: a cell relaxed with PBE.
No peak broadening, texture or thermal motion is included.

Structure:
Cell lengths 3.764, 11.313, 2.595 Å; angles 90.00, 90.00, 90.00 degrees
Space group Cmmm (No. 65)
One atom of each set of equivalent atoms:
Be1 0.000 0.000 0.000 x2
Be2 0.000 0.326 0.000 x4
Cu1 0.000 0.500 0.500 x2
Ni1 0.000 0.163 0.500 x4

Main lines, in order of rising 2θ (2θ = 5–70°):
2θ/deg, I (rel.)
33.64, 100
34.56, 47
48.27, 25
48.37, 25
49.00, 94
60.76, 33

***

(7)
# AcCo2GeH
Theoretical PXRD pattern, copper Kα. Input: a cell relaxed with PBE.
No peak broadening, texture or thermal motion is included.

Structure:
Cell lengths 4.022, 11.070, 6.780 Å; angles 90.00, 90.00, 90.00 degrees
Space group Cmcm (No. 63)
One atom of each set of equivalent atoms:
Ac1 0.000 0.070 0.250 x4
Co1 0.000 0.332 0.060 x8
Ge1 0.000 0.212 0.750 x4
H1 0.000 0.500 0.000 x4

Main lines, in order of rising 2θ (2θ = 5–70°):
2θ/deg, I (rel.)
20.72, 12
23.53, 23
26.29, 16
35.02, 37
35.57, 100
43.24, 11
45.08, 16
52.66, 17
58.33, 17
63.17, 16

***

(8)
# Tb3Er8Sc2
Theoretical PXRD pattern, copper Kα. Input: a cell relaxed with PBE.
No peak broadening, texture or thermal motion is included.

Structure:
Cell lengths 7.611, 19.389, 5.521 Å; angles 90.00, 90.00, 90.00 degrees
Space group Cmmm (No. 65)
One atom of each set of equivalent atoms:
Tb1 0.000 0.000 0.000 x2
Tb2 0.212 0.500 0.500 x4
Er1 0.000 0.136 0.500 x4
Er2 0.000 0.324 0.500 x4
Er3 0.210 0.387 0.000 x8
Sc1 0.000 0.241 0.000 x4

Main lines, in order of rising 2θ (2θ = 5–70°):
2θ/deg, I (rel.)
9.12, 13
25.14, 15
28.49, 18
29.97, 16
30.52, 38
32.09, 25
32.43, 46
34.07, 100
58.92, 30
68.35, 13

***

(9)
# Li4Ir3O8
Theoretical PXRD pattern, copper Kα. Input: a cell relaxed with PBE.
No peak broadening, texture or thermal motion is included.

Structure:
Cell lengths 6.1393, 6.1393, 15.2343 Å; angles 90.00, 90.00, 120.00 degrees
Space group R-3m (No. 166, hexagonal axes)
One atom of each set of equivalent atoms:
Li1 0.0000 0.0000 0.0000 x3
Li2 0.0000 0.0000 0.1427 x6
Li3 0.0000 0.0000 0.5000 x3
Ir1 0.0000 0.5000 0.0000 x9
O1 0.0000 0.0000 0.2668 x6
O2 0.0160 0.5080 0.2638 x18

Main lines, in order of rising 2θ (2θ = 5–70°):
2θ/deg, I (rel.)
17.46, 100
17.67, 30
20.37, 19
34.24, 51
35.77, 29
41.42, 45
45.27, 20
54.49, 18
60.30, 15
63.31, 21

***

(10)
# Sc3N
Theoretical PXRD pattern, copper Kα. Input: a cell relaxed with PBE.
No peak broadening, texture or thermal motion is included.

Structure:
Cell lengths 6.407, 8.548, 5.435 Å; angles 90.00, 90.00, 90.00 degrees
Space group Pnma (No. 62)
One atom of each set of equivalent atoms:
Sc1 0.001 0.250 0.200 x4
Sc2 0.247 0.071 0.745 x8
N1 0.000 0.000 0.000 x4

Main lines, in order of rising 2θ (2θ = 5–70°):
2θ/deg, I (rel.)
21.44, 20
32.96, 46
34.14, 88
35.01, 48
35.57, 100
48.84, 48
60.56, 14
64.07, 23
67.93, 16
69.52, 24

***

(11)
# CaDy8Ho4
Theoretical PXRD pattern, copper Kα. Input: a cell relaxed with PBE.
No peak broadening, texture or thermal motion is included.

Structure:
Cell lengths 11.247, 5.025, 14.661 Å; angles 90.00, 94.35, 90.00 degrees
Space group C2/m (No. 12)
One atom of each set of equivalent atoms:
Ca1 0.000 0.000 0.000 x2
Dy1 0.038 0.500 0.386 x4
Dy2 0.077 0.000 0.765 x4
Dy3 0.193 0.500 0.919 x4
Dy4 0.232 0.000 0.309 x4
Ho1 0.121 0.500 0.160 x4
Ho2 0.153 0.000 0.538 x4

Main lines, in order of rising 2θ (2θ = 5–70°):
2θ/deg, I (rel.)
6.05, 5
12.11, 1
15.80, 1
30.80, 100
32.96, 1
35.71, 51
41.47, 1
51.40, 36
61.13, 42
64.16, 12

***

(12)
# Co3Au
Theoretical PXRD pattern, copper Kα. Input: a cell relaxed with PBE.
No peak broadening, texture or thermal motion is included.

Structure:
Cell lengths 2.684, 3.523, 5.448 Å; angles 90.00, 90.49, 90.00 degrees
Space group P2/m (No. 10)
One atom of each set of equivalent atoms:
Co1 0.000 0.000 0.000 x1
Co2 0.496 0.500 0.212 x2
Au1 0.000 0.000 0.500 x1

Main lines, in order of rising 2θ (2θ = 5–70°):
2θ/deg, I (rel.)
16.27, 37
25.28, 24
30.21, 46
32.88, 15
37.49, 14
41.92, 96
42.34, 100
47.35, 34
47.78, 32
51.91, 27

***

(13)
# CaTm2Cd9
Theoretical PXRD pattern, copper Kα. Input: a cell relaxed with PBE.
No peak broadening, texture or thermal motion is included.

Structure:
Cell lengths 4.626, 4.626, 13.529 Å; angles 90.00, 90.00, 90.00 degrees
Space group P4/mmm (No. 123)
One atom of each set of equivalent atoms:
Ca1 0.000 0.000 0.000 x1
Tm1 0.000 0.000 0.336 x2
Cd1 0.000 0.500 0.172 x4
Cd2 0.000 0.500 0.500 x2
Cd3 0.500 0.500 0.000 x1
Cd4 0.500 0.500 0.337 x2

Main lines, in order of rising 2θ (2θ = 5–70°):
2θ/deg, I (rel.)
6.53, 11
13.09, 2
20.29, 3
33.85, 100
38.94, 34
39.99, 15
56.25, 11
57.04, 21
67.29, 26
68.72, 12